Record 1
Sc2Si2Pt3: simulated X-ray diffraction stick pattern (CuKα), based on a DFT-relaxed cell (GGA-PBE, the Materials Project).
Kinematic intensities with the Lorentz-polarization factor, no thermal factor.

Structural model:
```
Sc2Si2Pt3
1.0
6.410 0.000 0.000
0.000 8.766 0.000
0.000 0.000 4.072
Sc Si Pt
4 4 6
Cartesian
0.698 1.490 0.000
2.507 5.873 0.000
3.904 2.892 0.000
5.712 7.275 0.000
0.485 5.705 2.036
2.720 1.322 2.036
3.690 7.443 2.036
5.925 3.061 2.036
0.000 4.383 0.000
1.222 8.006 2.036
1.983 3.624 2.036
3.205 0.000 0.000
4.427 5.142 2.036
5.188 0.759 2.036
```

Largest 10 diffraction maxima, low angle first, 15° ≤ 2θ ≤ 90°:
20.3°, 4.383 Å, I = 65; 24.6°, 3.618 Å, I = 53; 27.9°, 3.200 Å, I = 82; 33.1°, 2.705 Å, I = 100; 35.6°, 2.519 Å, I = 75; 40.5°, 2.226 Å, I = 45; 41.3°, 2.184 Å, I = 50; 43.6°, 2.075 Å, I = 80; 44.5°, 2.036 Å, I = 50; 64.1°, 1.453 Å, I = 51

=====

Record 2
K6ZnS4: simulated X-ray diffraction stick pattern (CuKα), based on a DFT-relaxed cell (GGA-PBE, the Materials Project).
Kinematic intensities with the Lorentz-polarization factor, no thermal factor.

Structural model:
```
K6ZnS4
1.0
9.886 0.000 0.000
-4.943 8.561 0.000
0.000 0.000 7.695
K Zn S
12 2 8
Cartesian
-2.054 4.522 0.000
0.000 2.512 2.463
-2.768 7.305 2.463
2.175 1.256 6.311
2.054 4.522 0.000
0.000 8.079 0.000
4.943 0.482 3.848
2.889 4.040 3.848
2.768 7.305 2.463
7.710 1.256 6.311
4.943 6.050 6.311
6.997 4.040 3.848
0.000 5.708 4.733
4.943 2.854 0.885
0.000 3.383 5.489
-2.013 6.870 5.489
0.000 5.708 2.296
2.930 1.692 1.642
2.013 6.870 5.489
4.943 2.854 6.144
6.956 1.692 1.642
4.943 5.178 1.642
```

Largest 10 diffraction maxima, low angle first, 15° ≤ 2θ ≤ 90°:
15.5°, 5.723 Å, I = 42; 25.4°, 3.510 Å, I = 25; 30.0°, 2.983 Å, I = 91; 31.3°, 2.861 Å, I = 87; 33.5°, 2.676 Å, I = 35; 36.3°, 2.472 Å, I = 100; 36.6°, 2.457 Å, I = 30; 41.0°, 2.200 Å, I = 17; 54.9°, 1.671 Å, I = 17; 59.3°, 1.559 Å, I = 23

=====

Record 3
AlH6N2F3: simulated X-ray diffraction stick pattern (CuKα), based on a DFT-relaxed cell (GGA-PBE, the Materials Project).
Kinematic intensities with the Lorentz-polarization factor, no thermal factor.

Structural model:
```
AlH6N2F3
1.0
5.124 -1.890 0.000
5.124 1.890 0.000
-4.993 0.000 5.372
Al H N F
1 6 2 3
Cartesian
0.000 0.000 0.000
2.068 0.807 1.349
1.088 0.000 2.389
3.187 0.807 4.023
2.068 -0.807 1.349
4.166 0.000 2.982
3.187 -0.807 4.023
1.435 0.000 1.428
3.819 0.000 3.943
-3.710 0.000 4.115
5.124 0.000 0.000
8.964 0.000 1.256
```

Largest 10 diffraction maxima, low angle first, 15° ≤ 2θ ≤ 90°:
16.5°, 5.372 Å, I = 100; 17.3°, 5.122 Å, I = 59; 23.7°, 3.753 Å, I = 56; 24.3°, 3.663 Å, I = 31; 26.4°, 3.376 Å, I = 52; 26.5°, 3.359 Å, I = 50; 37.4°, 2.403 Å, I = 29; 48.1°, 1.890 Å, I = 29; 48.5°, 1.876 Å, I = 26; 49.8°, 1.831 Å, I = 27

=====

Record 4
LaB3O6: simulated X-ray diffraction stick pattern (CuKα), based on a DFT-relaxed cell (GGA-PBE, the Materials Project).
Kinematic intensities with the Lorentz-polarization factor, no thermal factor.

Structural model:
```
LaB3O6
1.0
5.024 -4.117 0.000
5.024 4.117 0.000
-3.996 0.000 5.228
La B O
2 6 12
Cartesian
2.027 2.452 3.921
4.025 -2.452 1.307
-0.932 0.571 4.803
4.025 2.281 1.307
1.066 -0.571 2.189
4.987 0.571 3.039
2.027 -2.281 3.921
6.985 -0.571 0.425
2.830 3.166 1.486
0.982 0.698 2.616
3.952 1.531 0.055
5.221 3.166 1.128
2.980 -0.698 0.002
4.099 1.531 2.559
1.954 -1.531 2.669
3.073 0.698 5.225
0.832 -3.166 4.100
2.101 -1.531 5.173
5.071 -0.698 2.612
3.223 -3.166 3.742
```

Largest 10 diffraction maxima, low angle first, 15° ≤ 2θ ≤ 90°:
17.3°, 5.135 Å, I = 100; 21.6°, 4.117 Å, I = 43; 22.3°, 3.992 Å, I = 43; 27.2°, 3.284 Å, I = 55; 27.6°, 3.226 Å, I = 48; 28.2°, 3.160 Å, I = 29; 29.0°, 3.083 Å, I = 32; 31.2°, 2.866 Å, I = 62; 42.7°, 2.116 Å, I = 66; 47.5°, 1.916 Å, I = 29

=====

Record 5
NaHoO2: simulated X-ray diffraction stick pattern (CuKα), based on a DFT-relaxed cell (GGA-PBE, the Materials Project).
Kinematic intensities with the Lorentz-polarization factor, no thermal factor.

Structural model:
```
NaHoO2
1.0
1.705 0.984 5.563
-1.705 0.984 5.563
0.000 -1.969 5.563
Na Ho O
1 1 2
Cartesian
0.000 0.000 0.000
0.000 0.000 8.344
0.000 0.000 3.953
0.000 0.000 12.736
```

Largest 10 diffraction maxima, low angle first, 15° ≤ 2θ ≤ 90°:
15.9°, 5.563 Å, I = 100; 30.7°, 2.908 Å, I = 52; 32.2°, 2.783 Å, I = 81; 37.3°, 2.411 Å, I = 82; 40.8°, 2.212 Å, I = 21; 49.1°, 1.855 Å, I = 23; 53.8°, 1.705 Å, I = 54; 56.4°, 1.630 Å, I = 22; 64.1°, 1.454 Å, I = 38; 67.3°, 1.392 Å, I = 17

=====

Record 6
Nd6Fe13Cu: simulated X-ray diffraction stick pattern (CuKα), based on a DFT-relaxed cell (GGA-PBE, the Materials Project).
Kinematic intensities with the Lorentz-polarization factor, no thermal factor.

Structural model:
```
Nd6Fe13Cu
1.0
-4.017 4.017 11.430
4.017 -4.017 11.430
4.017 4.017 -11.430
Nd Fe Cu
12 26 2
Cartesian
2.696 -1.321 4.285
0.000 0.000 2.469
5.338 -1.321 7.145
5.338 1.321 4.285
0.000 0.000 8.961
2.696 1.321 7.145
1.321 2.696 4.285
0.000 0.000 13.900
-1.321 2.696 7.145
-1.321 5.338 4.285
0.000 0.000 20.391
1.321 5.338 7.145
4.017 0.000 0.000
3.102 0.915 -2.189
1.692 0.543 0.000
5.453 1.436 -1.362
3.102 0.915 2.189
3.474 -2.325 11.430
5.453 1.436 1.362
1.436 2.581 -1.362
3.474 2.325 0.000
3.102 -0.915 9.241
1.436 2.581 1.362
1.692 -0.543 11.430
3.102 -0.915 13.619
0.000 4.017 0.000
0.915 4.932 -2.189
2.325 4.560 0.000
2.581 1.436 10.068
0.915 4.932 2.189
0.543 1.692 11.430
2.581 1.436 12.792
-1.436 2.581 10.068
0.543 6.342 0.000
0.915 3.102 9.241
-1.436 2.581 12.792
2.325 3.474 11.430
0.915 3.102 13.619
0.000 0.000 5.715
0.000 0.000 17.146
```

Largest 10 diffraction maxima, low angle first, 15° ≤ 2θ ≤ 90°:
27.4°, 3.250 Å, I = 83; 31.5°, 2.840 Å, I = 29; 31.7°, 2.825 Å, I = 88; 35.2°, 2.553 Å, I = 32; 35.3°, 2.541 Å, I = 100; 38.7°, 2.329 Å, I = 66; 38.8°, 2.322 Å, I = 37; 43.6°, 2.074 Å, I = 44; 46.8°, 1.942 Å, I = 43; 58.5°, 1.579 Å, I = 49

=====

Record 7
DyGa3Ru: simulated X-ray diffraction stick pattern (CuKα), based on a DFT-relaxed cell (GGA-PBE, the Materials Project).
Kinematic intensities with the Lorentz-polarization factor, no thermal factor.

Structural model:
```
DyGa3Ru
1.0
6.439 0.000 0.000
0.000 6.439 0.000
0.000 0.000 6.439
Dy Ga Ru
3 9 3
Cartesian
0.000 0.000 3.220
0.000 3.220 0.000
3.220 0.000 0.000
0.000 0.000 0.000
1.863 1.863 1.863
1.863 1.863 4.577
1.863 4.577 1.863
1.863 4.577 4.577
4.577 1.863 1.863
4.577 1.863 4.577
4.577 4.577 1.863
4.577 4.577 4.577
0.000 3.220 3.220
3.220 0.000 3.220
3.220 3.220 0.000
```

Largest 10 diffraction maxima, low angle first, 15° ≤ 2θ ≤ 90°:
19.5°, 4.553 Å, I = 8; 27.7°, 3.220 Å, I = 9; 31.1°, 2.880 Å, I = 15; 34.1°, 2.629 Å, I = 8; 39.6°, 2.277 Å, I = 100; 44.5°, 2.036 Å, I = 7; 57.2°, 1.610 Å, I = 14; 59.2°, 1.562 Å, I = 7; 64.7°, 1.440 Å, I = 9; 71.8°, 1.314 Å, I = 24